This entry pairs a crystal structure of RbNa3Li12Si4O16 with its computed X-ray powder pattern. Radiation: copper Kα. Structure: a crystal structure in Alexandria, relaxed with PBE.
No peak broadening, texture or thermal motion is included.

Cell and atoms:
```
36
Lattice="-5.512 5.512 3.187 5.512 -5.512 3.187 5.512 5.512 -3.187" Properties=species:S:1:pos:R:3 pbc="T T T"
Rb 0.000 0.000 0.000
Na 5.512 0.000 1.593
Na 0.000 0.000 3.187
Na 0.000 5.512 1.593
Li 6.697 2.932 -1.548
Li 7.873 0.799 0.000
Li 2.932 4.327 -1.548
Li 0.799 3.151 0.000
Li 2.580 1.185 1.638
Li -1.185 2.580 1.638
Li 6.697 2.932 1.548
Li 2.932 4.327 1.548
Li 4.713 2.361 3.187
Li 2.580 1.185 4.735
Li -2.361 4.713 3.187
Li -1.185 2.580 4.735
Si 4.689 2.424 0.000
Si 3.088 -0.823 3.187
Si 2.424 6.335 0.000
Si 0.823 3.088 3.187
O 4.592 3.343 -1.376
O 3.592 1.193 0.000
O 6.220 1.770 0.000
O 2.169 -0.920 1.811
O 4.319 -1.920 3.187
O 3.343 6.432 -1.376
O 1.770 4.804 0.000
O 0.920 2.169 1.811
O 4.592 3.343 1.376
O 3.742 0.708 3.187
O 2.169 -0.920 4.563
O 1.193 7.432 0.000
O 3.343 6.432 1.376
O -0.708 3.742 3.187
O 1.920 4.319 3.187
O 0.920 2.169 4.563
```

Top 6 peaks for 15° ≤ 2θ ≤ 90°, in order of rising 2θ:
22.8°, rel. 918
25.6°, rel. 298
36.4°, rel. 580
38.3°, rel. 1000
52.5°, rel. 245
66.8°, rel. 315

This entry pairs a crystal structure of RbNaLi6Si2O8 with its computed X-ray powder pattern. Radiation: copper Kα. Structure: a crystal structure in Alexandria, relaxed with PBE.
No peak broadening, texture or thermal motion is included.

Cell and atoms:
```
36
Lattice="7.951 -3.192 0.000 7.951 3.192 0.000 -0.087 0.000 7.894" Properties=species:S:1:pos:R:3 pbc="T T T"
Rb 3.853 0.000 3.709
Rb 11.962 0.000 4.184
Na 7.951 1.587 0.000
Na 7.951 -1.587 0.000
Li 1.045 0.000 2.235
Li 4.905 1.547 6.799
Li 6.768 1.573 2.941
Li 9.048 1.573 4.952
Li 5.698 0.000 1.062
Li 10.911 1.547 1.095
Li 4.905 -1.547 6.799
Li 10.118 0.000 6.831
Li 6.768 -1.573 2.941
Li 9.048 -1.573 4.952
Li 10.911 -1.547 1.095
Li 14.771 0.000 5.659
Si 2.248 0.000 6.781
Si 6.758 0.000 5.587
Si 9.057 0.000 2.307
Si 13.568 0.000 1.113
O 4.844 1.798 1.571
O 0.767 0.000 6.024
O 2.090 0.000 0.526
O 6.289 1.393 4.821
O 9.527 1.393 3.072
O 6.038 0.000 7.086
O 10.971 1.798 6.323
O 7.424 0.000 2.041
O 8.391 0.000 5.853
O 4.844 -1.798 1.571
O 9.777 0.000 0.808
O 6.289 -1.393 4.821
O 9.527 -1.393 3.072
O 13.726 0.000 7.367
O 15.048 0.000 1.870
O 10.971 -1.798 6.323
```

Top 6 peaks for 15° ≤ 2θ ≤ 90°, in order of rising 2θ:
15.7°, rel. 382
25.1°, rel. 414
25.2°, rel. 394
35.8°, rel. 842
37.9°, rel. 1000
38.0°, rel. 947

This entry pairs a crystal structure of RbNa3Li12Ti4O16 with its computed X-ray powder pattern. Radiation: copper Kα. Structure: a crystal structure in Alexandria, relaxed with PBE.
No peak broadening, texture or thermal motion is included.

Cell and atoms:
```
36
Lattice="-5.685 5.685 3.291 5.685 -5.685 3.291 5.685 5.685 -3.291" Properties=species:S:1:pos:R:3 pbc="T T T"
Rb 0.000 0.000 0.000
Na 5.685 0.000 1.646
Na 0.000 0.000 3.291
Na 0.000 5.685 1.646
Li 4.593 3.077 -1.664
Li 3.180 0.921 0.000
Li 2.608 -1.092 1.627
Li 4.765 -2.505 3.291
Li 3.077 6.778 -1.664
Li 1.092 2.608 1.627
Li 4.593 3.077 1.664
Li 2.608 -1.092 4.955
Li 0.921 8.191 0.000
Li 3.077 6.778 1.664
Li 2.505 4.765 3.291
Li 1.092 2.608 4.955
Ti 6.603 2.530 0.000
Ti 2.530 4.768 0.000
Ti 3.156 0.917 3.291
Ti -0.917 3.156 3.291
O 6.666 3.544 -1.527
O 7.703 1.059 0.000
O 4.880 1.903 0.000
O 3.544 4.705 -1.527
O 1.059 3.668 0.000
O 2.142 0.980 1.765
O 3.782 -0.805 3.291
O -0.980 2.142 1.765
O 6.666 3.544 1.527
O 1.903 6.490 0.000
O 3.544 4.705 1.527
O 4.627 2.018 3.291
O 2.142 0.980 4.818
O 0.805 3.782 3.291
O -2.018 4.627 3.291
O -0.980 2.142 4.818
```

Top 6 peaks for 15° ≤ 2θ ≤ 90°, in order of rising 2θ:
22.1°, rel. 1000
24.8°, rel. 337
35.3°, rel. 478
37.0°, rel. 835
50.8°, rel. 233
64.5°, rel. 303

This entry pairs a crystal structure of NaLiReO4 with its computed X-ray powder pattern. Radiation: copper Kα. Structure: a crystal structure in Alexandria, relaxed with PBE.
No peak broadening, texture or thermal motion is included.

Cell and atoms:
```
14
Lattice="5.515 0.000 0.000 0.000 5.515 0.000 0.000 0.000 7.377" Properties=species:S:1:pos:R:3 pbc="T T T"
Na 0.000 0.000 0.000
Na 2.758 2.758 3.688
Li 0.000 0.000 3.688
Li 2.758 2.758 0.000
Re 0.000 2.758 1.844
Re 2.758 0.000 5.533
O 0.944 4.050 2.674
O 1.293 1.813 1.015
O 1.465 0.944 4.703
O 1.813 4.223 6.362
O 3.702 1.293 6.362
O 4.050 4.571 4.703
O 4.223 3.702 1.015
O 4.571 1.465 2.674
```

Top 6 peaks for 15° ≤ 2θ ≤ 90°, in order of rising 2θ:
20.1°, rel. 1000
22.8°, rel. 227
33.4°, rel. 348
38.5°, rel. 297
40.2°, rel. 135
52.5°, rel. 194